# Nd5Y2Ho2
Computed powder X-ray diffraction pattern, copper Kα. Input: a structure optimized by DFT (PBE).
No peak broadening, texture or thermal motion is included.

Structural model:
```
data_Nd5Y2Ho2
_chemical_formula_sum 'Nd10 Y4 Ho4'
_space_group_name_H-M_alt 'P 1'
_space_group_IT_number 1
_space_group_name_Hall 'P 1'
_cell_length_a 10.1935
_cell_length_b 10.1935
_cell_length_c 10.1935
_cell_angle_alpha 84.87
_cell_angle_beta 108.17
_cell_angle_gamma 141.05
loop_
_atom_site_label
_atom_site_type_symbol
_atom_site_fract_x
_atom_site_fract_y
_atom_site_fract_z
Nd1 Nd 0.2312 0.0496 0.2808
Nd2 Nd 0.2312 0.4504 0.6816
Nd3 Nd 0.3949 0.0251 0.0809
Nd4 Nd 0.3949 0.8140 0.8698
Nd5 Nd 0.4515 0.4350 0.5164
Nd6 Nd 0.7688 0.5496 0.3184
Nd7 Nd 0.7688 0.9504 0.7192
Nd8 Nd 0.9186 0.9350 0.4836
Nd9 Nd 0.9442 0.3140 0.9191
Nd10 Nd 0.9442 0.5251 0.1302
Y1 Y 0.8143 0.1963 0.3606
Y2 Y 0.8143 0.9537 0.1180
Y3 Y 0.8357 0.4537 0.6394
Y4 Y 0.8357 0.6963 0.8820
Ho1 Ho 0.3459 0.3459 0.0000
Ho2 Ho 0.3459 0.8459 0.5000
Ho3 Ho 0.3686 0.1199 0.7487
Ho4 Ho 0.3712 0.6199 0.2513
```

Principal peaks in the range 2θ = 10–80°, by intensity:
2θ = 30.25°, d 2.955, I 100; 2θ = 29.89°, d 2.990, I 96; 2θ = 28.12°, d 3.173, I 80; 2θ = 30.63°, d 2.918, I 74; 2θ = 35.37°, d 2.538, I 70; 2θ = 32.56°, d 2.750, I 47; 2θ = 32.70°, d 2.739, I 47; 2θ = 37.44°, d 2.402, I 35